Starting from a DFT-relaxed cell (PBE, Alexandria), the XRD peak list of La6Ge4Cl was calculated for Cu Kα (λ = 1.5418 Å).
No peak broadening, texture or thermal motion is included.

Structure:
a b c (Å): 8.6262 8.6262 8.6262
angles (deg): 89.55 89.55 89.55
Element x y z (fractional)
La1 0.0623 0.9081 0.6809
La2 0.0919 0.3191 0.9377
La3 0.1809 0.4081 0.5623
La4 0.3191 0.9377 0.0919
La5 0.4081 0.5623 0.1809
La6 0.4377 0.8191 0.5919
La7 0.5623 0.1809 0.4081
La8 0.5919 0.4377 0.8191
La9 0.6809 0.0623 0.9081
La10 0.8191 0.5919 0.4377
La11 0.9081 0.6809 0.0623
La12 0.9377 0.0919 0.3191
Ge1 0.1405 0.7500 0.3595
Ge2 0.2500 0.2500 0.2500
Ge3 0.2500 0.6405 0.8595
Ge4 0.3595 0.1405 0.7500
Ge5 0.6405 0.8595 0.2500
Ge6 0.7500 0.3595 0.1405
Ge7 0.7500 0.7500 0.7500
Ge8 0.8595 0.2500 0.6405
Cl1 0.0000 0.0000 0.0000
Cl2 0.5000 0.5000 0.5000

Main lines, most intense first (5° ≤ 2θ ≤ 70°):
2θ/deg	intensity
34.51	100
31.22	85
32.75	66
25.12	44
23.13	43
39.23	36